Starting from a PBE-relaxed structure, the powder XRD pattern of Y6CuTe5 was calculated for λ = 1.5418 Å (Cu Kα).
Neutral-atom scattering factors, no anomalous dispersion.

Main lines, by angle (15 to 90 degrees two-theta):
(hkl)  Position (°2θ)  I/Imax
2 0 -2  29.11  100.0
2 0 2  41.56  35.2
1 3 -3  41.70  35.2
0 0 4  51.65  17.6
4 0 -4  60.34  10.4
5 3 -3  68.28  13.3
3 3 -5  68.46  13.4
2 0 -6  76.03  11.0

Lattice parameters (Å, degrees): 7.536 12.992 7.507 90.00 109.43 90.00
Space group C2/m (No. 12)
Asymmetric unit:
Y 0.222 0.000 0.262 (multiplicity 4)
Y 0.226 0.151 0.727 (multiplicity 8)
Cu 0.000 0.000 0.500 (multiplicity 2)
Te 0.000 0.180 0.000 (multiplicity 4)
Te 0.000 0.336 0.500 (multiplicity 4)
Te 0.000 0.500 0.000 (multiplicity 2)

Starting from a PBE-relaxed structure, the powder XRD pattern of CsNpPaS6 was calculated for λ = 1.5418 Å (Cu Kα).
Neutral-atom scattering factors, no anomalous dispersion.

Main lines, by angle (15 to 90 degrees two-theta):
(hkl)  Position (°2θ)  I/Imax
1 2 1  21.79  55.1
1 0 3  21.94  100.0
0 2 2  22.78  42.4
2 0 2  22.96  45.9
0 3 3  34.47  22.7
3 0 3  34.74  20.1
2 2 4  37.82  56.2
0 2 6  44.73  30.7

Lattice parameters (Å, degrees): 9.487 9.596 13.421 90.00 90.00 90.00
Space group Imma (No. 74)
Asymmetric unit:
Cs 0.000 0.250 0.123 (multiplicity 4)
Np 0.000 0.000 0.500 (multiplicity 4)
Pa 0.250 0.250 0.750 (multiplicity 4)
S 0.000 0.250 0.436 (multiplicity 4)
S 0.000 0.250 0.833 (multiplicity 4)
S 0.194 0.043 0.626 (multiplicity 16)

Starting from a PBE-relaxed structure, the powder XRD pattern of Pm2SeO7 was calculated for λ = 1.5418 Å (Cu Kα).
Neutral-atom scattering factors, no anomalous dispersion.

Main lines, by angle (15 to 90 degrees two-theta):
(hkl)  Position (°2θ)  I/Imax
-1 1 1  20.19  46.0
1 0 -2  25.14  64.7
1 1 0  26.21  100.0
1 -2 0  27.54  55.9
1 -1 2  28.64  49.8
-2 1 1  29.25  66.1
0 1 2  31.16  65.4
0 3 0  46.63  53.5

Lattice parameters (Å, degrees): 6.400 6.588 7.868 99.39 97.99 113.93
Space group P-1 (No. 2)
Asymmetric unit:
Pm 0.046 0.331 0.138 (multiplicity 2)
Pm 0.238 0.295 0.633 (multiplicity 2)
Se 0.422 0.022 0.241 (multiplicity 2)
O 0.034 0.903 0.649 (multiplicity 2)
O 0.085 0.398 0.863 (multiplicity 2)
O 0.244 0.039 0.069 (multiplicity 2)
O 0.294 0.007 0.413 (multiplicity 2)
O 0.320 0.744 0.722 (multiplicity 2)
O 0.371 0.481 0.390 (multiplicity 2)
O 0.456 0.783 0.185 (multiplicity 2)

Starting from a PBE-relaxed structure, the powder XRD pattern of Cs2CrSe2 was calculated for λ = 1.5418 Å (Cu Kα).
Neutral-atom scattering factors, no anomalous dispersion.

Main lines, by angle (15 to 90 degrees two-theta):
(hkl)  Position (°2θ)  I/Imax
1 3 0  21.68  32.8
0 4 0  24.31  43.4
0 0 2  26.12  57.0
2 1 1  27.70  100.0
1 4 1  30.13  49.1
2 3 1  32.75  45.2
0 4 2  35.98  58.3
3 3 2  48.67  31.9

Lattice parameters (Å, degrees): 7.546 14.643 6.824 90.00 90.00 90.00
Space group Ibam (No. 72)
Asymmetric unit:
Cs 0.166 0.147 0.000 (multiplicity 8)
Cr 0.000 0.500 0.250 (multiplicity 4)
Se 0.166 0.403 0.000 (multiplicity 8)

Starting from a PBE-relaxed structure, the powder XRD pattern of Cd3InCl7 was calculated for λ = 1.5418 Å (Cu Kα).
Neutral-atom scattering factors, no anomalous dispersion.

Main lines, by angle (15 to 90 degrees two-theta):
(hkl)  Position (°2θ)  I/Imax
2 0 0  16.45  100.0
0 2 1  23.64  43.9
2 0 -2  29.26  41.2
2 2 1  30.17  70.3
4 2 -1  39.35  22.6
4 0 -2  39.59  20.6
4 2 1  43.02  22.0
0 2 3  45.53  16.9

Lattice parameters (Å, degrees): 10.913 9.132 6.728 90.00 99.14 90.00
Space group C2/m (No. 12)
Asymmetric unit:
Cd 0.000 0.000 0.000 (multiplicity 2)
Cd 0.000 0.208 0.500 (multiplicity 4)
In 0.000 0.500 0.000 (multiplicity 2)
Cl 0.000 0.500 0.500 (multiplicity 2)
Cl 0.128 0.209 0.215 (multiplicity 8)
Cl 0.140 0.000 0.707 (multiplicity 4)

Starting from a PBE-relaxed structure, the powder XRD pattern of Sr4BiSe2Cl was calculated for λ = 1.5418 Å (Cu Kα).
Neutral-atom scattering factors, no anomalous dispersion.

Main lines, by angle (15 to 90 degrees two-theta):
(hkl)  Position (°2θ)  I/Imax
1 0 1  15.35  24.4
2 0 0  27.65  100.0
2 1 3  37.54  9.3
2 2 0  39.50  76.5
2 2 4  48.90  27.4
4 0 0  57.10  12.9
4 2 0  64.60  35.6
4 2 4  71.66  26.4

Lattice parameters (Å, degrees): 6.453 6.453 12.901 90.00 90.00 90.00
Space group I4/mmm (No. 139)
Asymmetric unit:
Sr 0.000 0.000 0.249 (multiplicity 4)
Sr 0.000 0.500 0.000 (multiplicity 4)
Bi 0.000 0.000 0.500 (multiplicity 2)
Se 0.000 0.500 0.250 (multiplicity 4)
Cl 0.000 0.000 0.000 (multiplicity 2)

Starting from a PBE-relaxed structure, the powder XRD pattern of KGa3Au3 was calculated for λ = 1.5418 Å (Cu Kα).
Neutral-atom scattering factors, no anomalous dispersion.

Main lines, by angle (15 to 90 degrees two-theta):
(hkl)  Position (°2θ)  I/Imax
1 1 0  15.92  70.5
2 0 2  26.24  76.8
1 2 2  30.85  29.8
2 2 0  32.16  100.0
0 4 2  41.97  34.9
0 2 4  42.18  55.7
2 3 2  45.17  21.1
4 2 2  53.84  38.0

Lattice parameters (Å, degrees): 11.1321 11.1321 9.5661 90.00 90.00 120.00
Space group R3c (No. 161, hexagonal axes)
Asymmetric unit:
K 0.0000 0.0000 0.0000 (multiplicity 6)
Ga 0.0149 0.4297 0.3819 (multiplicity 18)
Au 0.1667 0.3543 0.9692 (multiplicity 18)